# NaPd3Rh
Calculated powder diffractogram, λ = 1.5418 Å (Cu Kα). Input: a crystal structure in Alexandria, relaxed with PBE.
Peak positions follow from Bragg's law for the DFT cell and can differ from measured ones.

Main lines, sorted by position (15° ≤ 2θ ≤ 90°):
2θ 18.15, intensity 100
2θ 31.71, intensity 55
2θ 36.77, intensity 95
2θ 41.30, intensity 48
2θ 52.99, intensity 65
2θ 56.48, intensity 24
2θ 63.08, intensity 22
2θ 66.23, intensity 22
2θ 81.12, intensity 13
2θ 89.71, intensity 29

Structural model:
a b c (Å): 4.8881 4.8881 4.8881
angles (deg): 90.00 90.00 90.00
Positions (direct):
Na  0.0000  0.0000  0.0000
Pd  0.0000  0.5000  0.5000
Pd  0.5000  0.0000  0.5000
Pd  0.5000  0.5000  0.0000
Rh  0.5000  0.5000  0.5000